(1)
For Rb2CrGeCl6, the PBE geometry in Alexandria gives the computed powder X-ray diffraction pattern in this record (Cu Kα (weighted mean of Kα1 and Kα2)).
Neutral-atom scattering factors, no anomalous dispersion.

The 6 most intense peaks (10° ≤ 2θ ≤ 80°), in order of rising 2θ:
| two_theta | I/Imax |
| --- | --- |
| 24.4 | 100 |
| 30.1 | 51 |
| 34.8 | 100 |
| 43.0 | 44 |
| 50.1 | 65 |
| 68.1 | 23 |

Crystal structure
```
Rb2CrGeCl6
1.0
-3.6432 3.6432 5.1448
3.6432 -3.6432 5.1448
3.6432 3.6432 -5.1448
Rb Cr Ge Cl
2 1 1 6
direct
0.2500 0.7500 0.5000 Rb
0.7500 0.2500 0.5000 Rb
0.0000 0.0000 0.0000 Cr
0.5000 0.5000 0.0000 Ge
0.2414 0.2414 0.0000 Cl
0.2418 0.2418 0.4836 Cl
0.2418 0.7582 0.0000 Cl
0.7582 0.2418 0.0000 Cl
0.7582 0.7582 0.5164 Cl
0.7586 0.7586 0.0000 Cl
```

=====

(2)
For LiDyMg11, the PBE geometry in Alexandria gives the computed powder X-ray diffraction pattern in this record (Cu Kα (weighted mean of Kα1 and Kα2)).
Neutral-atom scattering factors, no anomalous dispersion.

The 6 most intense peaks (10° ≤ 2θ ≤ 80°), in order of rising 2θ:
| two_theta | I/Imax |
| --- | --- |
| 12.3 | 66 |
| 17.4 | 64 |
| 24.9 | 39 |
| 30.6 | 57 |
| 35.3 | 100 |
| 35.4 | 44 |

Crystal structure
```
LiDyMg11
1.0
2.9299 -7.1862 0.0000
2.9299 7.1862 0.0000
-2.8313 0.0000 7.2088
Li Dy Mg
1 1 11
direct
0.0000 0.0000 0.0000 Li
0.5000 0.5000 0.5000 Dy
0.0000 0.5000 0.5000 Mg
0.0060 0.7971 0.2862 Mg
0.1500 0.4976 0.1484 Mg
0.2029 0.9940 0.7138 Mg
0.4976 0.1500 0.1484 Mg
0.5000 0.0000 0.5000 Mg
0.5000 0.5000 0.0000 Mg
0.5024 0.8500 0.8516 Mg
0.7971 0.0060 0.2862 Mg
0.8500 0.5024 0.8516 Mg
0.9940 0.2029 0.7138 Mg
```

=====

(3)
For SmCd2I6, the PBE geometry in Alexandria gives the computed powder X-ray diffraction pattern in this record (Cu Kα (weighted mean of Kα1 and Kα2)).
Neutral-atom scattering factors, no anomalous dispersion.

The 6 most intense peaks (10° ≤ 2θ ≤ 80°), in order of rising 2θ:
| two_theta | I/Imax |
| --- | --- |
| 13.3 | 21 |
| 22.8 | 28 |
| 24.9 | 100 |
| 38.8 | 38 |
| 41.4 | 23 |
| 62.3 | 21 |

Crystal structure
```
SmCd2I6
1.0
4.0173 2.3194 7.7953
-4.0173 2.3194 7.7953
0.0000 -4.6387 7.7953
Sm Cd I
1 2 6
direct
0.0000 0.0000 0.0000 Sm
0.2720 0.2720 0.2720 Cd
0.3937 0.3937 0.3937 Cd
0.0814 0.3884 0.7805 I
0.2240 0.9128 0.6145 I
0.3884 0.7805 0.0814 I
0.6145 0.2240 0.9128 I
0.7805 0.0814 0.3884 I
0.9128 0.6145 0.2240 I
```

=====

(4)
For RbS5I, the PBE geometry in Alexandria gives the computed powder X-ray diffraction pattern in this record (Cu Kα (weighted mean of Kα1 and Kα2)).
Neutral-atom scattering factors, no anomalous dispersion.

The 6 most intense peaks (10° ≤ 2θ ≤ 80°), in order of rising 2θ:
| two_theta | I/Imax |
| --- | --- |
| 14.0 | 100 |
| 14.7 | 88 |
| 18.1 | 73 |
| 27.8 | 32 |
| 28.1 | 52 |
| 29.6 | 97 |

Crystal structure
```
RbS5I
1.0
3.7785 -6.0064 0.0000
3.7785 6.0064 0.0000
-2.0866 0.0000 13.1044
Rb S I
2 10 2
direct
0.1600 0.8400 0.7500 Rb
0.8400 0.1600 0.2500 Rb
0.0376 0.3464 0.6186 S
0.1954 0.3572 0.7552 S
0.3464 0.0376 0.1186 S
0.3572 0.1954 0.2552 S
0.4796 0.5204 0.2500 S
0.5204 0.4796 0.7500 S
0.6428 0.8046 0.7448 S
0.6536 0.9624 0.8814 S
0.8046 0.6428 0.2448 S
0.9624 0.6536 0.3814 S
0.0000 0.0000 0.0000 I
0.0000 0.0000 0.5000 I
```

=====

Q: What is the formula in the fourth record?
A: RbS5I